(1)
Theoretical powder X-ray diffraction pattern of CdHg2GeO4 for a wavelength of 1.5418 Å, from a crystal structure in Alexandria, relaxed with PBE.
Peak positions follow from Bragg's law for the DFT cell and can differ from measured ones.

Crystal structure
```
16
Lattice="6.5362 0.0000 0.0000 0.0000 7.6611 0.0000 0.0000 0.0000 5.3528" Properties=species:S:1:pos:R:3 pbc="T T T"
Cd 0.0000 0.7106 0.0000
Cd 3.2681 6.9505 2.6764
Hg 1.3390 2.7378 2.8102
Hg 1.9291 4.9233 0.1338
Hg 4.6071 4.9233 0.1338
Hg 5.1973 2.7378 2.8102
Ge 0.0000 6.2802 2.6222
Ge 3.2681 1.3809 5.2987
O 0.0000 0.3060 3.1346
O 0.0000 6.1801 0.7805
O 1.5465 5.5322 3.1028
O 1.7216 2.1289 0.4263
O 3.2681 1.4810 3.4569
O 3.2681 7.3551 0.4582
O 4.8146 2.1289 0.4263
O 4.9897 5.5322 3.1028
```

Peak list (10 most intense, 15 to 90 degrees two-theta, sorted by position)
d_spacing  two_theta  I (rel.)
4.388  20.24  22
3.643  24.43  16
3.115  28.66  100
3.006  29.72  45
2.676  33.48  46
2.621  34.21  56
2.012  45.05  18
1.999  45.37  25
1.617  56.93  15
1.608  57.28  16

---

(2)
Theoretical powder X-ray diffraction pattern of Cs2PuBr2F4 for a wavelength of 1.5418 Å, from a crystal structure in Alexandria, relaxed with PBE.
Peak positions follow from Bragg's law for the DFT cell and can differ from measured ones.

Crystal structure
```
9
Lattice="-3.7332 3.7332 4.9327 3.7332 -3.7332 4.9327 3.7332 3.7332 -4.9327" Properties=species:S:1:pos:R:3 pbc="T T T"
Cs 3.7332 0.0000 2.4664
Cs 0.0000 3.7332 2.4664
Pu 0.0000 0.0000 0.0000
Br 0.0000 0.0000 2.8261
Br 0.0000 0.0000 7.0394
F 1.4996 1.4996 0.0000
F 2.2336 -2.2336 4.9327
F -2.2336 2.2336 4.9327
F 2.2336 2.2336 4.9327
```

Peak list (10 most intense, 15 to 90 degrees two-theta, sorted by position)
d_spacing  two_theta  I (rel.)
3.733  23.83  100
3.604  24.70  65
3.163  28.21  23
3.010  29.68  43
2.640  33.96  59
2.343  38.42  34
2.130  42.44  27
2.058  44.00  32
1.802  50.65  31
1.670  55.00  24

---

(3)
Theoretical powder X-ray diffraction pattern of BaLi2NdP2 for a wavelength of 1.5418 Å, from a crystal structure in Alexandria, relaxed with PBE.
Peak positions follow from Bragg's law for the DFT cell and can differ from measured ones.

Crystal structure
```
6
Lattice="4.2891 0.0000 0.0000 -2.1445 3.7145 0.0000 0.0000 0.0000 8.5080" Properties=species:S:1:pos:R:3 pbc="T T T"
Ba 0.0000 0.0000 0.0000
Li 0.0000 2.4763 6.2156
Li 2.1445 1.2382 2.2924
Nd 0.0000 0.0000 4.2540
P 0.0000 2.4763 2.4513
P 2.1445 1.2382 6.0567
```

Peak list (10 most intense, 15 to 90 degrees two-theta, sorted by position)
d_spacing  two_theta  I (rel.)
4.254  20.88  22
3.714  23.96  62
2.798  31.99  100
2.145  42.14  29
1.915  47.48  16
1.846  49.37  20
1.702  53.86  23
1.510  61.39  16
1.333  70.65  21
1.172  82.29  9